Simulated XRD peak list
Compound: Cu3Sb
Radiation: Cu Kα
Structure: a DFT-relaxed cell (PBE, the Materials Project)
Neutral-atom scattering factors, no anomalous dispersion.

Principal peaks in the range 2θ = 10–80°, low angle first:
- 26.14 deg, I 7, (1 1 0)
- 27.24 deg, I 7, (1 0 1)
- 36.05 deg, I 12, (0 0 2)
- 37.35 deg, I 27, (0 2 1)
- 41.58 deg, I 38, (2 0 0)
- 41.80 deg, I 54, (1 0 2)
- 42.95 deg, I 100, (1 2 1)
- 57.12 deg, I 15, (2 2 1)
- 65.68 deg, I 16, (0 2 3)
- 68.21 deg, I 8, (0 4 0)
- 76.02 deg, I 8, (3 0 2)
- 76.82 deg, I 16, (3 2 1)

Structure:
Cell lengths 4.344, 5.499, 4.983 Å; angles 90.00, 90.00, 90.00 degrees
Positions (direct):
Cu  0.250  0.002  0.149
Cu  0.250  0.498  0.149
Cu  0.250  0.750  0.703
Cu  0.750  0.250  0.297
Cu  0.750  0.502  0.851
Cu  0.750  0.998  0.851
Sb  0.250  0.250  0.660
Sb  0.750  0.750  0.340